[1]
For LiNiBO3, a cell relaxed with PBE+U gives the theoretical PXRD pattern in this record (Cu Kα X-rays).
Lines closer than 0.1° are merged.

Cell and atoms:
```
LiNiBO3
1.0
2.645 -4.376 0.000
2.645 4.376 0.000
-0.274 0.000 10.000
Li Ni B O
4 4 4 12
Cartesian
2.508 4.340 5.000
1.596 0.063 2.509
1.459 -0.063 7.509
2.645 -4.340 0.000
2.392 1.516 9.659
4.080 1.489 7.148
2.529 -1.516 4.659
4.217 -1.489 2.148
2.461 1.489 4.607
4.305 1.464 2.115
2.324 -1.489 9.607
4.168 -1.464 7.115
2.283 4.053 6.993
1.875 2.704 4.226
2.111 1.735 7.576
1.735 0.327 4.506
1.598 -0.327 9.506
2.959 1.465 1.743
3.772 1.483 5.072
2.248 -1.735 2.575
1.738 -2.704 9.226
2.822 -1.465 6.743
3.909 -1.483 0.071
2.420 -4.053 1.993
```

Principal peaks in the range 15° ≤ 2θ ≤ 90°, sorted by position:
- 20.30°, rel. 63
- 21.75°, rel. 100
- 22.18°, rel. 46
- 26.25°, rel. 45
- 26.88°, rel. 29
- 35.14°, rel. 71
- 35.92°, rel. 91
- 40.68°, rel. 43


[2]
For LiV4P3O12, a cell relaxed with PBE+U gives the theoretical PXRD pattern in this record (Cu Kα X-rays).
Lines closer than 0.1° are merged.

Cell and atoms:
```
LiV4P3O12
1.0
-3.414 3.414 9.579
3.414 -3.414 9.579
3.414 3.414 -9.579
Li V P O
2 8 6 24
Cartesian
0.000 0.000 0.000
0.000 3.414 4.790
3.414 0.000 0.439
1.707 -1.673 7.184
0.000 0.000 5.229
1.741 1.707 2.395
3.414 0.000 9.140
1.707 5.087 -2.395
0.000 0.000 13.930
1.673 1.707 11.974
1.707 1.006 -2.395
3.414 0.000 4.790
2.408 -1.707 11.974
0.000 0.000 9.579
1.707 2.408 7.184
1.006 5.121 2.395
3.736 -1.288 3.977
1.805 -0.438 2.014
2.976 1.805 -2.775
3.852 -1.609 7.565
5.023 0.438 2.014
2.126 -0.321 5.602
4.702 0.321 5.602
-0.032 1.938 1.165
3.093 2.126 0.812
3.093 1.288 3.977
-0.032 1.476 3.625
1.288 -0.321 8.767
2.126 3.736 -0.812
1.609 -0.438 12.355
0.438 1.609 6.804
2.976 1.609 7.565
1.805 3.852 2.775
0.321 1.288 10.392
0.032 4.890 1.165
1.938 3.382 5.954
-1.938 3.446 5.954
1.476 3.382 8.415
-1.476 3.446 8.415
0.032 5.353 3.625
```

Principal peaks in the range 15° ≤ 2θ ≤ 90°, sorted by position:
- 20.60°, rel. 15
- 26.68°, rel. 22
- 29.62°, rel. 22
- 32.20°, rel. 100
- 38.61°, rel. 11
- 42.94°, rel. 16
- 53.69°, rel. 15
- 53.95°, rel. 24


[3]
For Li4Fe5Ni2O12, a cell relaxed with PBE+U gives the theoretical PXRD pattern in this record (Cu Kα X-rays).
Lines closer than 0.1° are merged.

Cell and atoms:
```
Li4Fe5Ni2O12
1.0
5.172 0.000 0.000
0.000 8.873 0.000
-1.564 0.000 9.640
Li Fe Ni O
8 10 4 24
Cartesian
-0.373 0.000 2.358
-1.117 7.331 7.295
-0.216 8.820 9.612
2.160 7.246 2.365
1.449 2.810 7.275
3.825 4.384 0.029
4.726 2.895 2.345
3.982 4.436 7.282
-1.129 1.359 7.325
0.484 7.353 4.843
1.275 2.948 0.031
0.563 4.353 4.784
2.163 1.435 2.352
1.445 5.872 7.288
3.045 8.789 4.857
2.334 7.384 9.609
3.125 2.917 4.798
4.737 5.796 2.315
0.521 1.395 4.883
1.312 5.846 0.037
2.297 1.409 9.604
3.088 5.831 4.758
-0.459 8.804 5.970
-0.387 2.893 5.979
0.429 4.487 1.056
0.451 7.195 1.136
0.536 1.527 1.272
-0.226 5.843 6.004
1.223 5.894 3.665
0.459 1.578 8.450
0.495 4.493 8.523
0.568 7.159 8.559
1.396 8.819 3.663
1.411 2.828 3.726
2.198 7.264 5.914
2.212 4.382 5.978
3.041 2.722 1.082
3.113 0.057 1.118
3.149 6.014 1.191
2.386 1.458 5.975
3.835 1.406 3.636
3.072 5.963 8.369
3.158 2.759 8.504
3.180 0.050 8.584
3.995 7.330 3.661
4.068 4.368 3.671
```

Principal peaks in the range 15° ≤ 2θ ≤ 90°, sorted by position:
- 18.41°, rel. 48
- 20.02°, rel. 34
- 23.25°, rel. 40
- 37.08°, rel. 39
- 42.65°, rel. 57
- 43.40°, rel. 100
- 62.35°, rel. 28
- 62.61°, rel. 27


[4]
For Cs2SrV4O12, a cell relaxed with PBE+U gives the theoretical PXRD pattern in this record (Cu Kα X-rays).
Lines closer than 0.1° are merged.

Cell and atoms:
```
Cs2SrV4O12
1.0
8.070 0.000 0.000
0.000 8.070 0.000
0.000 0.000 5.708
Cs Sr V O
2 1 4 12
Cartesian
0.000 4.035 0.000
4.035 0.000 0.000
0.000 0.000 0.000
2.240 2.240 2.854
2.240 5.830 2.854
5.830 2.240 2.854
5.830 5.830 2.854
1.565 1.565 1.475
1.565 1.565 4.233
1.565 6.505 1.475
1.565 6.505 4.233
1.920 4.035 2.854
4.035 1.920 2.854
4.035 6.149 2.854
6.149 4.035 2.854
6.505 1.565 1.475
6.505 1.565 4.233
6.505 6.505 1.475
6.505 6.505 4.233
```

Principal peaks in the range 15° ≤ 2θ ≤ 90°, sorted by position:
- 15.53°, rel. 16
- 19.04°, rel. 19
- 22.03°, rel. 17
- 27.06°, rel. 100
- 31.35°, rel. 47
- 35.16°, rel. 23
- 44.93°, rel. 27
- 53.24°, rel. 37


[5]
For Cs2MgMo2O12, a cell relaxed with PBE+U gives the theoretical PXRD pattern in this record (Cu Kα X-rays).
Lines closer than 0.1° are merged.

Cell and atoms:
```
Cs2MgMo2O12
1.0
6.213 0.000 0.000
0.000 12.409 0.000
-3.550 0.000 8.800
Cs Mg Mo O
4 2 4 24
Cartesian
1.238 2.296 0.477
-0.537 3.909 4.877
3.200 8.501 3.923
1.425 10.114 8.323
1.331 0.000 4.400
3.106 6.205 0.000
-0.028 6.674 2.055
-1.803 11.940 6.455
4.466 0.469 2.345
2.691 5.735 6.745
-1.578 1.339 6.223
0.197 4.866 1.823
-0.180 0.764 3.206
-1.954 5.441 7.606
-0.317 6.965 3.751
-2.091 11.649 8.151
1.039 8.133 1.349
-0.736 10.481 5.749
-1.071 8.228 8.654
0.704 10.386 4.254
2.023 6.235 1.849
0.248 12.379 6.249
2.414 0.031 2.551
0.640 6.174 6.951
1.959 2.024 4.546
3.734 4.181 0.146
3.399 1.929 3.051
1.624 4.276 7.451
4.754 0.761 0.649
2.980 5.444 5.049
4.617 6.968 1.194
2.842 11.646 5.594
2.466 7.543 6.977
4.241 11.071 2.577
```

Principal peaks in the range 15° ≤ 2θ ≤ 90°, sorted by position:
- 16.97°, rel. 43
- 17.49°, rel. 43
- 23.77°, rel. 32
- 24.84°, rel. 100
- 25.79°, rel. 33
- 29.43°, rel. 39
- 29.68°, rel. 37
- 32.55°, rel. 52


[6]
For Li2VPCO7, a cell relaxed with PBE+U gives the theoretical PXRD pattern in this record (Cu Kα X-rays).
Lines closer than 0.1° are merged.

Cell and atoms:
```
Li2VPCO7
1.0
5.032 0.000 0.000
0.000 6.401 0.000
-0.586 0.000 8.601
Li V P C O
4 2 2 2 14
Cartesian
0.973 0.020 2.435
0.973 3.180 2.435
3.473 3.221 6.166
3.473 6.381 6.166
0.535 4.801 7.260
3.911 1.600 1.340
0.860 1.600 7.900
3.586 4.801 0.701
1.009 4.801 4.814
3.438 1.600 3.787
-0.211 4.801 5.296
0.801 1.600 0.720
0.369 0.369 7.100
0.369 2.832 7.100
1.282 4.801 3.582
2.047 4.801 0.544
1.956 4.801 5.757
2.490 1.600 2.844
2.399 1.600 8.057
3.164 1.600 5.019
4.077 3.569 1.501
4.077 6.033 1.501
3.645 4.801 7.880
4.657 1.600 3.304
```

Principal peaks in the range 15° ≤ 2θ ≤ 90°, sorted by position:
- 17.27°, rel. 52
- 19.86°, rel. 38
- 21.09°, rel. 47
- 25.31°, rel. 42
- 26.36°, rel. 55
- 27.87°, rel. 100
- 39.83°, rel. 24
- 57.60°, rel. 29


[7]
For MgNiSnP2O9, a cell relaxed with PBE+U gives the theoretical PXRD pattern in this record (Cu Kα X-rays).
Lines closer than 0.1° are merged.

Cell and atoms:
```
MgNiSnP2O9
1.0
14.351 0.000 0.000
0.000 6.418 0.000
0.000 0.000 7.710
Mg Ni Sn P O
4 4 4 8 36
Cartesian
2.747 1.605 0.255
4.428 4.814 4.110
9.923 1.605 3.601
11.604 4.814 7.456
0.000 0.000 0.000
0.000 3.209 0.000
7.176 0.000 3.855
7.176 3.209 3.855
1.678 1.605 4.969
5.497 4.814 1.114
8.854 1.605 6.596
12.673 4.814 2.741
1.023 4.814 4.986
2.729 4.814 0.949
4.446 1.605 4.804
6.152 1.605 1.131
8.199 4.814 6.579
9.905 4.814 2.906
11.622 1.605 6.761
13.328 1.605 2.724
14.344 1.605 3.876
0.007 4.814 3.834
0.338 4.814 6.354
0.955 1.605 6.822
1.915 3.496 0.843
1.915 6.131 0.843
2.007 3.626 4.818
2.007 6.001 4.818
3.330 1.605 3.693
3.560 4.814 2.284
3.616 1.605 6.139
3.845 4.814 7.548
5.169 0.417 0.963
5.169 2.792 0.963
5.261 0.287 4.698
5.261 2.922 4.698
6.221 4.814 2.967
6.837 1.605 2.499
7.169 1.605 7.689
7.183 4.814 0.021
7.514 4.814 5.211
8.131 1.605 4.743
9.090 3.496 3.012
9.090 6.131 3.012
9.182 3.626 6.747
9.182 6.001 6.747
10.506 1.605 0.163
10.736 4.814 1.571
10.791 1.605 5.427
11.021 4.814 4.018
12.344 0.417 2.892
12.344 2.792 2.892
12.437 0.287 6.867
12.437 2.922 6.867
13.396 4.814 0.888
14.013 1.605 1.356
```

Principal peaks in the range 15° ≤ 2θ ≤ 90°, sorted by position:
- 16.88°, rel. 100
- 17.98°, rel. 61
- 18.55°, rel. 37
- 23.90°, rel. 95
- 27.80°, rel. 39
- 29.76°, rel. 37
- 30.82°, rel. 85
- 32.70°, rel. 39


Q: What is the formula in the third record?
A: Li4Fe5Ni2O12